# HgH3Pd12Pb4
Simulated powder diffraction line list, Cu Ka. Input: the PBE geometry in Alexandria.
Lines closer than 0.1° are merged.

Main lines, sorted by position (5° ≤ 2θ ≤ 70°):
2θ 29.03, intensity 35, (2 2 0); 2θ 32.54, intensity 11, (3 1 0); 2θ 35.75, intensity 100, (2 2 2); 2θ 38.72, intensity 17, (3 2 1); 2θ 41.51, intensity 73, (4 0 0); 2θ 49.11, intensity 12, (3 3 2); 2θ 60.16, intensity 43, (4 4 0); 2θ 68.16, intensity 12, (6 2 0)

Structural model:
```
data_HgH3Pd12Pb4
_space_group_name_H-M_alt 'I m -3 m'
_space_group_IT_number 229
_space_group_name_Hall '-I 4 2 3'
_cell_length_a 8.7011
_cell_length_b 8.7011
_cell_length_c 8.7011
_cell_angle_alpha 90.00
_cell_angle_beta 90.00
_cell_angle_gamma 90.00
loop_
_atom_site_label
_atom_site_type_symbol
_atom_site_fract_x
_atom_site_fract_y
_atom_site_fract_z
Hg1 Hg 0.0000 0.0000 0.0000
H1 H 0.0000 0.0000 0.5000
Pd1 Pd 0.0000 0.0000 0.2977
Pd2 Pd 0.0000 0.2500 0.5000
Pb1 Pb 0.2500 0.2500 0.2500
```

# TaTlF6
Simulated powder diffraction line list, Cu Ka. Input: the PBE geometry in Alexandria.
Lines closer than 0.1° are merged.

Main lines, sorted by position (5° ≤ 2θ ≤ 70°):
2θ 18.64, intensity 100, (2 0 0); 2θ 26.49, intensity 58, (2 2 0); 2θ 32.59, intensity 14, (2 2 2); 2θ 37.81, intensity 21, (4 0 0); 2θ 42.47, intensity 43, (4 2 0); 2θ 46.75, intensity 23, (4 2 2); 2θ 58.15, intensity 21, (6 0 0); 2θ 61.62, intensity 14, (6 2 0)

Structural model:
```
data_TaTlF6
_space_group_name_H-M_alt 'F m -3 m'
_space_group_IT_number 225
_space_group_name_Hall '-F 4 2 3'
_cell_length_a 9.5187
_cell_length_b 9.5187
_cell_length_c 9.5187
_cell_angle_alpha 90.00
_cell_angle_beta 90.00
_cell_angle_gamma 90.00
loop_
_atom_site_label
_atom_site_type_symbol
_atom_site_fract_x
_atom_site_fract_y
_atom_site_fract_z
Ta1 Ta 0.0000 0.0000 0.0000
Tl1 Tl 0.0000 0.0000 0.5000
F1 F 0.0000 0.0000 0.2026
```

# Ba2GaHg7
Simulated powder diffraction line list, Cu Ka. Input: the PBE geometry in Alexandria.
Lines closer than 0.1° are merged.

Main lines, sorted by position (5° ≤ 2θ ≤ 70°):
2θ 19.73, intensity 31, (1 0 1); 2θ 28.04, intensity 56, (1 0 3); 2θ 29.78, intensity 100, (1 1 2); 2θ 37.38, intensity 77, (2 0 0); 2θ 38.75, intensity 64, (1 1 4); 2θ 40.08, intensity 43, (1 0 5); 2θ 53.89, intensity 27, (2 2 0); 2θ 55.96, intensity 31, (2 1 5)

Structural model:
```
data_Ba2GaHg7
_space_group_name_H-M_alt 'P -4 m 2'
_space_group_IT_number 115
_cell_length_a 4.8117
_cell_length_b 4.8117
_cell_length_c 12.7264
_cell_angle_alpha 90.00
_cell_angle_beta 90.00
_cell_angle_gamma 90.00
loop_
_space_group_symop_operation_xyz
'x,y,z'
'y,-x,-z'
'-x,-y,z'
'-y,x,-z'
'-x,y,z'
'-y,-x,-z'
'x,-y,z'
'y,x,-z'
loop_
_atom_site_label
_atom_site_type_symbol
_atom_site_fract_x
_atom_site_fract_y
_atom_site_fract_z
Ba1 Ba 0.0000 0.5000 0.2450
Ga1 Ga 0.5000 0.5000 0.0000
Hg1 Hg 0.0000 0.0000 0.0000
Hg2 Hg 0.0000 0.0000 0.5000
Hg3 Hg 0.0000 0.5000 0.6431
Hg4 Hg 0.0000 0.5000 0.8723
Hg5 Hg 0.5000 0.5000 0.5000
```

# Y6Se8I
Simulated powder diffraction line list, Cu Ka. Input: the PBE geometry in Alexandria.
Lines closer than 0.1° are merged.

Main lines, sorted by position (5° ≤ 2θ ≤ 70°):
2θ 9.06, intensity 59, (1 0 0); 2θ 23.20, intensity 36, (1 0 1); 2θ 24.13, intensity 36, (2 1 0); 2θ 27.42, intensity 54, (3 0 0); 2θ 28.15, intensity 50, (2 0 1); 2θ 32.41, intensity 100, (1 2 1); 2θ 38.57, intensity 76, (4 -2 1); 2θ 46.02, intensity 40, (2 3 1)

Structural model:
```
data_Y6Se8I
_space_group_name_H-M_alt 'P -3'
_space_group_IT_number 147
_cell_length_a 11.2667
_cell_length_b 11.2667
_cell_length_c 4.1702
_cell_angle_alpha 90.00
_cell_angle_beta 90.00
_cell_angle_gamma 120.00
loop_
_space_group_symop_operation_xyz
'x,y,z'
'-x,-y,-z'
'-y,x-y,z'
'y,-x+y,-z'
'-x+y,-x,z'
'x-y,x,-z'
loop_
_atom_site_label
_atom_site_type_symbol
_atom_site_fract_x
_atom_site_fract_y
_atom_site_fract_z
Y1 Y 0.1390 0.6679 0.2528
Se1 Se 0.0485 0.3796 0.2462
Se2 Se 0.3333 0.6667 0.7514
I1 I 0.0000 0.0000 0.5000
```

# PuZr14Nb
Simulated powder diffraction line list, Cu Ka. Input: the PBE geometry in Alexandria.
Lines closer than 0.1° are merged.

Main lines, sorted by position (5° ≤ 2θ ≤ 70°):
2θ 8.77, intensity 5, (1 0 0); 2θ 35.24, intensity 21, (0 4 0); 2θ 35.59, intensity 100, (4 0 0); 2θ 50.97, intensity 13, (4 4 0); 2θ 51.45, intensity 6, (0 0 4); 2θ 63.47, intensity 12, (2 6 2); 2θ 63.94, intensity 17, (6 2 2); 2θ 64.14, intensity 5, (4 0 4)

Structural model:
```
data_PuZr14Nb
_space_group_name_H-M_alt 'A m m 2'
_space_group_IT_number 38
_cell_length_a 10.0836
_cell_length_b 10.1866
_cell_length_c 7.1042
_cell_angle_alpha 90.00
_cell_angle_beta 90.00
_cell_angle_gamma 90.00
loop_
_space_group_symop_operation_xyz
'x,y,z'
'-x,-y,z'
'-x,y,z'
'x,-y,z'
'x,y+1/2,z+1/2'
'-x,-y+1/2,z+1/2'
'-x,y+1/2,z+1/2'
'x,-y+1/2,z+1/2'
loop_
_atom_site_label
_atom_site_type_symbol
_atom_site_fract_x
_atom_site_fract_y
_atom_site_fract_z
Pu1 Pu 0.0000 0.0000 0.0000
Zr1 Zr 0.0000 0.2340 0.2863
Zr2 Zr 0.2207 0.0000 0.2993
Zr3 Zr 0.2539 0.2411 0.0304
Zr4 Zr 0.2617 0.0000 0.7597
Zr5 Zr 0.5000 0.0000 0.0505
Zr6 Zr 0.5000 0.0000 0.4764
Zr7 Zr 0.5000 0.2218 0.7700
Nb1 Nb 0.0000 0.0000 0.5658
```

# Cs3Pa2S6
Simulated powder diffraction line list, Cu Ka. Input: the PBE geometry in Alexandria.
Lines closer than 0.1° are merged.

Main lines, sorted by position (5° ≤ 2θ ≤ 70°):
2θ 12.19, intensity 20, (0 0 4); 2θ 22.79, intensity 100, (1 0 5); 2θ 23.89, intensity 47, (1 1 0); 2θ 30.79, intensity 16, (0 0 10); 2θ 34.04, intensity 35, (2 0 0); 2θ 39.35, intensity 23, (1 1 10); 2θ 41.36, intensity 43, (2 1 5); 2θ 46.56, intensity 21, (2 0 10)

Structural model:
```
data_Cs3Pa2S6
_space_group_name_H-M_alt 'I 4/m m m'
_space_group_IT_number 139
_space_group_name_Hall '-I 4 2'
_cell_length_a 5.2669
_cell_length_b 5.2669
_cell_length_c 29.0384
_cell_angle_alpha 90.00
_cell_angle_beta 90.00
_cell_angle_gamma 90.00
loop_
_atom_site_label
_atom_site_type_symbol
_atom_site_fract_x
_atom_site_fract_y
_atom_site_fract_z
Cs1 Cs 0.0000 0.0000 0.0000
Cs2 Cs 0.0000 0.0000 0.1868
Pa1 Pa 0.0000 0.0000 0.3979
S1 S 0.0000 0.0000 0.3127
S2 S 0.0000 0.5000 0.0860
```

# Y2NbSiMo
Simulated powder diffraction line list, Cu Ka. Input: the PBE geometry in Alexandria.
Lines closer than 0.1° are merged.

Main lines, sorted by position (5° ≤ 2θ ≤ 70°):
2θ 30.50, intensity 100, (1 1 1); 2θ 33.89, intensity 51, (2 0 0); 2θ 38.15, intensity 18, (0 0 2); 2θ 48.68, intensity 18, (2 2 0); 2θ 51.94, intensity 29, (2 0 2); 2θ 58.54, intensity 30, (3 1 1); 2θ 63.47, intensity 16, (2 2 2); 2θ 64.25, intensity 11, (1 1 3)

Structural model:
```
data_Y2NbSiMo
_space_group_name_H-M_alt 'P 4/m m m'
_space_group_IT_number 123
_space_group_name_Hall '-P 4 2'
_cell_length_a 5.2905
_cell_length_b 5.2905
_cell_length_c 4.7179
_cell_angle_alpha 90.00
_cell_angle_beta 90.00
_cell_angle_gamma 90.00
loop_
_atom_site_label
_atom_site_type_symbol
_atom_site_fract_x
_atom_site_fract_y
_atom_site_fract_z
Y1 Y 0.0000 0.5000 0.0000
Nb1 Nb 0.0000 0.0000 0.5000
Si1 Si 0.0000 0.0000 0.0000
Mo1 Mo 0.5000 0.5000 0.5000
```

# InCuHg2S4
Simulated powder diffraction line list, Cu Ka. Input: the PBE geometry in Alexandria.
Lines closer than 0.1° are merged.

Main lines, sorted by position (5° ≤ 2θ ≤ 70°):
2θ 25.23, intensity 48, (2 1 0); 2θ 26.53, intensity 57, (0 0 2); 2θ 28.31, intensity 51, (0 2 1); 2θ 28.56, intensity 100, (2 1 1); 2θ 36.93, intensity 24, (2 1 2); 2θ 44.11, intensity 41, (2 3 0); 2θ 48.10, intensity 43, (2 1 3); 2θ 52.21, intensity 35, (2 3 2)

Structural model:
```
data_InCuHg2S4
_space_group_name_H-M_alt 'P m n 21'
_space_group_IT_number 31
_cell_length_a 8.1237
_cell_length_b 7.1388
_cell_length_c 6.7206
_cell_angle_alpha 90.00
_cell_angle_beta 90.00
_cell_angle_gamma 90.00
loop_
_space_group_symop_operation_xyz
'x,y,z'
'-x+1/2,-y,z+1/2'
'-x,y,z'
'x+1/2,-y,z+1/2'
loop_
_atom_site_label
_atom_site_type_symbol
_atom_site_fract_x
_atom_site_fract_y
_atom_site_fract_z
In1 In 0.0000 0.1623 0.0000
Cu1 Cu 0.0000 0.8370 0.4971
Hg1 Hg 0.2491 0.6687 0.0028
S1 S 0.0000 0.1386 0.3743
S2 S 0.0000 0.8425 0.8435
S3 S 0.2356 0.6804 0.3914
```

# Pt6Rh
Simulated powder diffraction line list, Cu Ka. Input: the PBE geometry in Alexandria.
Lines closer than 0.1° are merged.

Main lines, sorted by position (5° ≤ 2θ ≤ 70°):
2θ 13.89, intensity 1, (0 0 3); 2θ 23.51, intensity 1, (1 0 1); 2θ 24.87, intensity 1, (0 1 2); 2θ 29.74, intensity 1, (1 0 4); 2θ 40.46, intensity 100, (1 1 0); 2θ 58.55, intensity 17, (0 2 7)

Structural model:
```
data_Pt6Rh
_space_group_name_H-M_alt 'R -3 m'
_space_group_IT_number 166
_space_group_name_Hall '-R 3 2"'
_cell_length_a 4.4577
_cell_length_b 4.4577
_cell_length_c 19.1270
_cell_angle_alpha 90.00
_cell_angle_beta 90.00
_cell_angle_gamma 120.00
loop_
_atom_site_label
_atom_site_type_symbol
_atom_site_fract_x
_atom_site_fract_y
_atom_site_fract_z
Pt1 Pt 0.0000 0.0000 0.0718
Pt2 Pt 0.0000 0.0000 0.2133
Pt3 Pt 0.0000 0.0000 0.3576
Rh1 Rh 0.0000 0.0000 0.5000
```

# Sn2PbAu
Simulated powder diffraction line list, Cu Ka. Input: the PBE geometry in Alexandria.
Lines closer than 0.1° are merged.

Main lines, sorted by position (5° ≤ 2θ ≤ 70°):
2θ 18.65, intensity 19, (0 0 2); 2θ 30.70, intensity 46, (2 0 -2); 2θ 31.57, intensity 100, (1 1 1); 2θ 37.82, intensity 19, (0 0 4); 2θ 37.97, intensity 48, (1 1 -3); 2θ 38.99, intensity 21, (2 0 2); 2θ 50.54, intensity 22, (3 1 -1); 2θ 60.62, intensity 16, (2 2 -2)

Structural model:
```
data_Sn2PbAu
_space_group_name_H-M_alt 'P 1 21 1'
_space_group_IT_number 4
_cell_length_a 6.2736
_cell_length_b 3.5890
_cell_length_c 9.8286
_cell_angle_alpha 90.00
_cell_angle_beta 104.53
_cell_angle_gamma 90.00
loop_
_space_group_symop_operation_xyz
'x,y,z'
'-x,y+1/2,-z'
loop_
_atom_site_label
_atom_site_type_symbol
_atom_site_fract_x
_atom_site_fract_y
_atom_site_fract_z
Sn1 Sn 0.0037 0.9999 0.3195
Sn2 Sn 0.4947 0.5000 0.2669
Pb1 Pb 0.2276 0.9982 0.9859
Au1 Au 0.3002 0.4995 0.5047
```

# Pr6CN3
Simulated powder diffraction line list, Cu Ka. Input: the PBE geometry in Alexandria.
Lines closer than 0.1° are merged.

Main lines, sorted by position (5° ≤ 2θ ≤ 70°):
2θ 28.11, intensity 17, (1 1 0); 2θ 29.14, intensity 25, (0 0 6); 2θ 31.74, intensity 100, (2 -1 3); 2θ 40.93, intensity 21, (2 -1 6); 2θ 49.74, intensity 20, (3 0 0); 2θ 53.32, intensity 23, (1 1 9); 2θ 58.69, intensity 20, (3 0 6); 2θ 60.22, intensity 15, (2 2 3)

Structural model:
```
data_Pr6CN3
_space_group_name_H-M_alt 'R 3'
_space_group_IT_number 146
_space_group_name_Hall 'R 3'
_cell_length_a 6.3499
_cell_length_b 6.3499
_cell_length_c 18.3869
_cell_angle_alpha 90.00
_cell_angle_beta 90.00
_cell_angle_gamma 120.00
loop_
_atom_site_label
_atom_site_type_symbol
_atom_site_fract_x
_atom_site_fract_y
_atom_site_fract_z
Pr1 Pr 0.0109 0.6683 0.0000
Pr2 Pr 0.0197 0.3452 0.4997
C1 C 0.0000 0.0000 0.2428
N1 N 0.0000 0.0000 0.4214
N2 N 0.0000 0.0000 0.7442
N3 N 0.0000 0.0000 0.9225
```

# LiHgPdCl6
Simulated powder diffraction line list, Cu Ka. Input: the PBE geometry in Alexandria.
Lines closer than 0.1° are merged.

Main lines, sorted by position (5° ≤ 2θ ≤ 70°):
2θ 16.12, intensity 63, (1 0 1); 2θ 19.83, intensity 100, (1 1 0); 2θ 25.57, intensity 30, (1 1 2); 2θ 27.94, intensity 37, (1 0 3); 2θ 32.61, intensity 43, (2 0 2); 2θ 40.11, intensity 72, (2 1 3); 2θ 40.29, intensity 23, (2 2 0); 2θ 49.74, intensity 35, (3 0 3)

Structural model:
```
data_LiHgPdCl6
_space_group_name_H-M_alt 'P 42 n m'
_space_group_IT_number 102
_cell_length_a 6.3311
_cell_length_b 6.3311
_cell_length_c 11.0954
_cell_angle_alpha 90.00
_cell_angle_beta 90.00
_cell_angle_gamma 90.00
loop_
_space_group_symop_operation_xyz
'x,y,z'
'-y+1/2,x+1/2,z+1/2'
'-x,-y,z'
'y+1/2,-x+1/2,z+1/2'
'-x+1/2,y+1/2,z+1/2'
'y,x,z'
'x+1/2,-y+1/2,z+1/2'
'-y,-x,z'
loop_
_atom_site_label
_atom_site_type_symbol
_atom_site_fract_x
_atom_site_fract_y
_atom_site_fract_z
Li1 Li 0.0000 0.0000 0.0000
Hg1 Hg 0.0000 0.0000 0.6760
Pd1 Pd 0.0000 0.0000 0.3313
Cl1 Cl 0.1747 0.1747 0.1734
Cl2 Cl 0.1811 0.1811 0.4850
Cl3 Cl 0.2031 0.2031 0.8379
```

# PrYPtI
Simulated powder diffraction line list, Cu Ka. Input: the PBE geometry in Alexandria.
Lines closer than 0.1° are merged.

Main lines, sorted by position (5° ≤ 2θ ≤ 70°):
2θ 10.96, intensity 33, (0 0 3); 2θ 25.49, intensity 22, (0 1 2); 2θ 30.67, intensity 100, (0 1 5); 2θ 35.77, intensity 18, (1 0 7); 2θ 42.92, intensity 46, (1 1 0); 2θ 44.93, intensity 27, (1 0 10); 2θ 53.67, intensity 21, (2 0 5); 2θ 63.87, intensity 17, (0 2 10)

Structural model:
```
data_PrYPtI
_space_group_name_H-M_alt 'R 3 m'
_space_group_IT_number 160
_space_group_name_Hall 'R 3 -2"'
_cell_length_a 4.2145
_cell_length_b 4.2145
_cell_length_c 24.2117
_cell_angle_alpha 90.00
_cell_angle_beta 90.00
_cell_angle_gamma 120.00
loop_
_atom_site_label
_atom_site_type_symbol
_atom_site_fract_x
_atom_site_fract_y
_atom_site_fract_z
Pr1 Pr 0.0000 0.0000 0.0000
Y1 Y 0.0000 0.0000 0.2088
Pt1 Pt 0.0000 0.0000 0.6008
I1 I 0.0000 0.0000 0.7748
```